Starting from DFT lattice parameters and positions (PBE), the powder diffractogram of PaCd2InO8 was computed for Cu Ka.
Intensities are scaled so that the largest is 100.

Top 10 peaks for 2θ = 5–70°, sorted by position:
d 5.114, 2θ = 17.34°, intensity 20; d 3.369, 2θ = 26.45°, intensity 85; d 3.030, 2θ = 29.47°, intensity 100; d 2.382, 2θ = 37.76°, intensity 22; d 1.873, 2θ = 48.61°, intensity 66; d 1.696, 2θ = 54.06°, intensity 23; d 1.685, 2θ = 54.47°, intensity 13; d 1.515, 2θ = 61.16°, intensity 12; d 1.507, 2θ = 61.55°, intensity 13; d 1.472, 2θ = 63.15°, intensity 18

Structure:
a b c (Å): 6.175 6.175 6.175
angles (deg): 113.86 113.86 101.01
Atoms (fractional coordinates):
1 Pa 0.000 0.000 0.000
2 Cd 0.250 0.750 0.500
3 Cd 0.500 0.500 0.000
4 In 0.750 0.250 0.500
5 O 0.033 0.339 0.307
6 O 0.033 0.726 0.693
7 O 0.091 0.273 0.818
8 O 0.274 0.967 0.307
9 O 0.456 0.273 0.182
10 O 0.661 0.967 0.693
11 O 0.727 0.544 0.818
12 O 0.727 0.909 0.182

---

Starting from DFT lattice parameters and positions (PBE), the powder diffractogram of ScCdIn4O8 was computed for Cu Ka.
Intensities are scaled so that the largest is 100.

Top 10 peaks for 2θ = 5–70°, sorted by position:
d 3.283, 2θ = 27.16°, intensity 34; d 2.809, 2θ = 31.85°, intensity 100; d 2.798, 2θ = 31.99°, intensity 25; d 2.691, 2θ = 33.30°, intensity 15; d 1.901, 2θ = 47.84°, intensity 16; d 1.792, 2θ = 50.95°, intensity 29; d 1.788, 2θ = 51.09°, intensity 15; d 1.649, 2θ = 55.75°, intensity 24; d 1.641, 2θ = 56.02°, intensity 24; d 1.421, 2θ = 65.69°, intensity 12

Structure:
a b c (Å): 6.566 6.566 6.566
angles (deg): 60.29 60.29 60.29
Atoms (fractional coordinates):
1 Sc 0.000 0.000 0.000
2 Cd 0.373 0.373 0.373
3 In 0.496 0.998 0.998
4 In 0.623 0.623 0.623
5 In 0.998 0.496 0.998
6 In 0.998 0.998 0.496
7 O 0.214 0.763 0.763
8 O 0.228 0.228 0.789
9 O 0.228 0.789 0.228
10 O 0.233 0.233 0.233
11 O 0.759 0.759 0.759
12 O 0.763 0.214 0.763
13 O 0.763 0.763 0.214
14 O 0.789 0.228 0.228

---

Starting from DFT lattice parameters and positions (PBE), the powder diffractogram of Cd2InTcO6 was computed for Cu Ka.
Intensities are scaled so that the largest is 100.

Top 10 peaks for 2θ = 5–70°, sorted by position:
d 5.083, 2θ = 17.45°, intensity 11; d 3.055, 2θ = 29.23°, intensity 100; d 2.702, 2θ = 33.15°, intensity 35; d 2.542, 2θ = 35.31°, intensity 10; d 2.116, 2θ = 42.72°, intensity 11; d 1.911, 2θ = 47.58°, intensity 21; d 1.851, 2θ = 49.21°, intensity 24; d 1.620, 2θ = 56.83°, intensity 29; d 1.549, 2θ = 59.69°, intensity 9; d 1.527, 2θ = 60.63°, intensity 8

Structure:
a b c (Å): 5.405 5.405 5.083
angles (deg): 90.00 90.00 90.00
Atoms (fractional coordinates):
1 Cd 0.000 0.500 0.000
2 Cd 0.500 0.000 0.000
3 In 0.000 0.000 0.570
4 Tc 0.500 0.500 0.585
5 O 0.000 0.000 0.167
6 O 0.266 0.266 0.731
7 O 0.266 0.734 0.731
8 O 0.500 0.500 0.245
9 O 0.734 0.266 0.731
10 O 0.734 0.734 0.731